(1)
Diffraction record for LiHfAu3Se4. The XRD peak list is calculated, not measured: it uses a cell relaxed with PBE and Cu Ka.
Kinematic intensities with the Lorentz-polarization factor, no thermal factor.

Atomic structure:
```
data_LiHfAu3Se4
_chemical_formula_sum 'Li1 Hf1 Au3 Se4'
_symmetry_space_group_name_H-M 'P 1'
_symmetry_Int_Tables_number 1
_symmetry_space_group_name_Hall 'P 1'
_cell_length_a 6.152
_cell_length_b 6.152
_cell_length_c 6.152
_cell_angle_alpha 90.00
_cell_angle_beta 90.00
_cell_angle_gamma 90.00
loop_
_atom_site_label
_atom_site_type_symbol
_atom_site_fract_x
_atom_site_fract_y
_atom_site_fract_z
_atom_site_occupancy
Li1 Li 0.000 0.000 0.000 1
Hf1 Hf 0.500 0.500 0.500 1
Au1 Au 0.000 0.500 0.500 1
Au2 Au 0.500 0.000 0.500 1
Au3 Au 0.500 0.500 0.000 1
Se1 Se 0.256 0.256 0.256 1
Se2 Se 0.256 0.744 0.744 1
Se3 Se 0.744 0.256 0.744 1
Se4 Se 0.744 0.744 0.256 1
```

Main lines, low angle first (15 to 90 degrees two-theta):
2θ = 25.1°, I = 59.0
2θ = 29.0°, I = 22.4
2θ = 32.5°, I = 41.4
2θ = 41.5°, I = 100.0
2θ = 44.2°, I = 24.4
2θ = 49.1°, I = 28.9
2θ = 53.7°, I = 13.0
2θ = 60.2°, I = 16.7
2θ = 62.2°, I = 13.3
2θ = 75.7°, I = 34.5

(2)
Diffraction record for Lu2Hf4Au3N3. The XRD peak list is calculated, not measured: it uses a cell relaxed with PBE and Cu Ka.
Kinematic intensities with the Lorentz-polarization factor, no thermal factor.

Atomic structure:
```
data_Lu2Hf4Au3N3
_chemical_formula_sum 'Lu4 Hf8 Au6 N6'
_symmetry_space_group_name_H-M 'P 1'
_symmetry_Int_Tables_number 1
_symmetry_space_group_name_Hall 'P 1'
_cell_length_a 5.708
_cell_length_b 5.708
_cell_length_c 14.454
_cell_angle_alpha 101.54
_cell_angle_beta 101.54
_cell_angle_gamma 60.05
loop_
_atom_site_label
_atom_site_type_symbol
_atom_site_fract_x
_atom_site_fract_y
_atom_site_fract_z
_atom_site_occupancy
Lu1 Lu 0.038 0.873 0.611 1
Lu2 Lu 0.127 0.962 0.889 1
Lu3 Lu 0.873 0.038 0.111 1
Lu4 Lu 0.962 0.127 0.389 1
Hf1 Hf 0.192 0.355 0.083 1
Hf2 Hf 0.299 0.480 0.417 1
Hf3 Hf 0.355 0.192 0.583 1
Hf4 Hf 0.480 0.299 0.917 1
Hf5 Hf 0.520 0.701 0.083 1
Hf6 Hf 0.645 0.808 0.417 1
Hf7 Hf 0.701 0.520 0.583 1
Hf8 Hf 0.808 0.645 0.917 1
Au1 Au 0.086 0.337 0.751 1
Au2 Au 0.337 0.086 0.251 1
Au3 Au 0.490 0.510 0.250 1
Au4 Au 0.510 0.490 0.750 1
Au5 Au 0.663 0.914 0.749 1
Au6 Au 0.914 0.663 0.249 1
N1 N 0.000 0.500 0.500 1
N2 N 0.167 0.665 0.000 1
N3 N 0.335 0.833 0.500 1
N4 N 0.500 0.000 0.000 1
N5 N 0.665 0.167 0.500 1
N6 N 0.833 0.335 0.000 1
```

Main lines, low angle first (15 to 90 degrees two-theta):
2θ = 31.3°, I = 21.7
2θ = 36.9°, I = 100.0
2θ = 37.9°, I = 4.9
2θ = 38.4°, I = 19.7
2θ = 50.3°, I = 7.7
2θ = 55.8°, I = 14.8
2θ = 68.4°, I = 7.8
2θ = 68.5°, I = 5.5
2θ = 68.7°, I = 4.5
2θ = 69.7°, I = 5.2

(3)
Diffraction record for Hf2Nb4Au3N3. The XRD peak list is calculated, not measured: it uses a cell relaxed with PBE and Cu Ka.
Kinematic intensities with the Lorentz-polarization factor, no thermal factor.

Atomic structure:
```
data_Hf2Nb4Au3N3
_chemical_formula_sum 'Hf4 Nb8 Au6 N6'
_symmetry_space_group_name_H-M 'P 1'
_symmetry_Int_Tables_number 1
_symmetry_space_group_name_Hall 'P 1'
_cell_length_a 5.602
_cell_length_b 5.602
_cell_length_c 13.880
_cell_angle_alpha 101.72
_cell_angle_beta 101.72
_cell_angle_gamma 60.21
loop_
_atom_site_label
_atom_site_type_symbol
_atom_site_fract_x
_atom_site_fract_y
_atom_site_fract_z
_atom_site_occupancy
Hf1 Hf 0.035 0.870 0.601 1
Hf2 Hf 0.130 0.965 0.899 1
Hf3 Hf 0.870 0.035 0.101 1
Hf4 Hf 0.965 0.130 0.399 1
Nb1 Nb 0.193 0.367 0.078 1
Nb2 Nb 0.314 0.467 0.422 1
Nb3 Nb 0.367 0.193 0.578 1
Nb4 Nb 0.467 0.314 0.922 1
Nb5 Nb 0.533 0.686 0.078 1
Nb6 Nb 0.633 0.807 0.422 1
Nb7 Nb 0.686 0.533 0.578 1
Nb8 Nb 0.807 0.633 0.922 1
Au1 Au 0.081 0.299 0.749 1
Au2 Au 0.299 0.081 0.249 1
Au3 Au 0.461 0.539 0.750 1
Au4 Au 0.539 0.461 0.250 1
Au5 Au 0.701 0.919 0.751 1
Au6 Au 0.919 0.701 0.251 1
N1 N 0.000 0.500 0.500 1
N2 N 0.151 0.698 0.000 1
N3 N 0.302 0.849 0.500 1
N4 N 0.500 0.000 0.000 1
N5 N 0.698 0.151 0.500 1
N6 N 0.849 0.302 0.000 1
```

Main lines, low angle first (15 to 90 degrees two-theta):
2θ = 31.8°, I = 11.7
2θ = 32.0°, I = 23.2
2θ = 37.8°, I = 100.0
2θ = 37.9°, I = 49.7
2θ = 40.1°, I = 26.5
2θ = 52.1°, I = 14.0
2θ = 56.8°, I = 18.9
2θ = 70.4°, I = 12.6
2θ = 71.3°, I = 11.9
2θ = 71.8°, I = 14.8

(4)
Diffraction record for HfAuNO. The XRD peak list is calculated, not measured: it uses a cell relaxed with PBE and Cu Ka.
Kinematic intensities with the Lorentz-polarization factor, no thermal factor.

Atomic structure:
```
data_HfAuNO
_chemical_formula_sum 'Hf2 Au2 N2 O2'
_symmetry_space_group_name_H-M 'P 1'
_symmetry_Int_Tables_number 1
_symmetry_space_group_name_Hall 'P 1'
_cell_length_a 3.604
_cell_length_b 6.869
_cell_length_c 6.289
_cell_angle_alpha 90.00
_cell_angle_beta 90.00
_cell_angle_gamma 90.00
loop_
_atom_site_label
_atom_site_type_symbol
_atom_site_fract_x
_atom_site_fract_y
_atom_site_fract_z
_atom_site_occupancy
Hf1 Hf 0.000 0.162 0.000 1
Hf2 Hf 0.000 0.838 0.500 1
Au1 Au 0.500 0.498 0.725 1
Au2 Au 0.500 0.502 0.225 1
N1 N 0.500 0.307 0.976 1
N2 N 0.500 0.693 0.476 1
O1 O 0.000 0.021 0.267 1
O2 O 0.000 0.979 0.767 1
```

Main lines, low angle first (15 to 90 degrees two-theta):
2θ = 19.1°, I = 68.9
2θ = 28.0°, I = 100.0
2θ = 31.3°, I = 54.6
2θ = 31.4°, I = 28.5
2θ = 36.1°, I = 33.4
2θ = 38.0°, I = 53.6
2θ = 38.8°, I = 38.8
2θ = 39.0°, I = 23.0
2θ = 39.3°, I = 25.2
2θ = 55.8°, I = 46.3